This entry pairs a crystal structure of NaPa5S12 with its simulated X-ray powder pattern. Radiation: copper Kα. Structure: a crystal structure in Alexandria, relaxed with PBE.
Peak positions follow from Bragg's law for the DFT cell and can differ from measured ones.

Main lines, by intensity (2θ = 10–90°):
- 34.00 deg, intensity 1000
- 21.99 deg, intensity 828
- 36.27 deg, intensity 782
- 13.78 deg, intensity 724
- 14.18 deg, intensity 669
- 27.56 deg, intensity 644
- 45.41 deg, intensity 378
- 34.94 deg, intensity 364
- 42.17 deg, intensity 360
- 28.50 deg, intensity 336

Atomic structure:
```
NaPa5S12
1.0
-4.043 4.920 5.299
4.043 -4.920 5.299
4.043 4.920 -5.299
Na Pa S
1 5 12
direct
0.000 0.000 0.000 Na
0.170 0.500 0.670 Pa
0.336 0.836 0.500 Pa
0.500 0.500 0.000 Pa
0.664 0.164 0.500 Pa
0.830 0.500 0.330 Pa
0.099 0.293 0.806 S
0.148 0.444 0.296 S
0.148 0.851 0.704 S
0.345 0.201 0.546 S
0.345 0.799 0.144 S
0.487 0.293 0.194 S
0.513 0.707 0.806 S
0.655 0.201 0.856 S
0.655 0.799 0.454 S
0.852 0.149 0.296 S
0.852 0.556 0.704 S
0.901 0.707 0.194 S
```